Structure and computed powder X-ray diffraction pattern of FeH2O2 (a DFT-relaxed cell (GGA+U, the Materials Project); CuKα).
Neutral-atom scattering factors, no anomalous dispersion.

Atomic structure:
```
data_FeH2O2
_cell_length_a 7.333
_cell_length_b 3.323
_cell_length_c 7.395
_cell_angle_alpha 90.00
_cell_angle_beta 101.94
_cell_angle_gamma 90.00
_symmetry_space_group_name_H-M 'P 1 21/m 1'
_symmetry_Int_Tables_number 11
loop_
_symmetry_equiv_pos_as_xyz
'x,y,z'
'-x,-y,-z'
'-x,y+1/2,-z'
'x,-y+1/2,z'
loop_
_atom_site_label
_atom_site_type_symbol
_atom_site_fract_x
_atom_site_fract_y
_atom_site_fract_z
Fe1 Fe 0.125 0.250 0.375
Fe2 Fe 0.375 0.750 0.125
H1 H 0.007 0.250 0.924
H2 H 0.243 0.250 0.824
H3 H 0.258 0.750 0.675
H4 H 0.493 0.750 0.574
O1 O 0.098 0.750 0.181
O2 O 0.153 0.750 0.570
O3 O 0.347 0.250 0.930
O4 O 0.403 0.250 0.320
```

Most intense lines, 2θ = 15–90°, in order of falling intensity:
| index | 2θ (°) | I (rel.) |
| --- | --- | --- |
| 1 0 1 | 19.14 | 100 |
| 0 1 2 | 36.73 | 76 |
| 3 0 -1 | 37.07 | 35 |
| 1 1 3 | 50.47 | 31 |
| 1 1 -1 | 31.13 | 25 |
| 3 1 -3 | 55.57 | 21 |

---

Structure and computed powder X-ray diffraction pattern of Er2VFeO6 (a DFT-relaxed cell (GGA+U, the Materials Project); CuKα).
Neutral-atom scattering factors, no anomalous dispersion.

Atomic structure:
```
data_Er2VFeO6
_cell_length_a 5.231
_cell_length_b 5.614
_cell_length_c 9.136
_cell_angle_alpha 90.00
_cell_angle_beta 124.39
_cell_angle_gamma 90.00
_symmetry_space_group_name_H-M 'P 1 21/c 1'
_symmetry_Int_Tables_number 14
loop_
_symmetry_equiv_pos_as_xyz
'x,y,z'
'-x,-y,-z'
'-x,y+1/2,-z+1/2'
'x,-y+1/2,z+1/2'
loop_
_atom_site_label
_atom_site_type_symbol
_atom_site_fract_x
_atom_site_fract_y
_atom_site_fract_z
Er1 Er 0.226 0.073 0.248
V1 V 0.000 0.000 0.500
Fe1 Fe 0.500 0.000 0.000
O1 O 0.135 0.189 0.943
O2 O 0.258 0.694 0.944
O3 O 0.368 0.042 0.753
```

Most intense lines, 2θ = 15–90°, in order of falling intensity:
| index | 2θ (°) | I (rel.) |
| --- | --- | --- |
| 1 1 1 | 33.24 | 100 |
| 1 1 -3 | 33.48 | 99 |
| 2 0 -2 | 34.28 | 49 |
| 1 1 -1 | 23.24 | 48 |
| 1 3 0 | 53.40 | 46 |
| 0 2 1 | 34.08 | 36 |

---

Structure and computed powder X-ray diffraction pattern of MoH8N2O4 (a DFT-relaxed cell (GGA+U, the Materials Project); CuKα).
Neutral-atom scattering factors, no anomalous dispersion.

Atomic structure:
```
data_MoH8N2O4
_cell_length_a 6.291
_cell_length_b 7.943
_cell_length_c 12.115
_cell_angle_alpha 90.00
_cell_angle_beta 112.15
_cell_angle_gamma 90.00
_symmetry_space_group_name_H-M 'P 1 21/c 1'
_symmetry_Int_Tables_number 14
loop_
_symmetry_equiv_pos_as_xyz
'x,y,z'
'-x,-y,-z'
'-x,y+1/2,-z+1/2'
'x,-y+1/2,z+1/2'
loop_
_atom_site_label
_atom_site_type_symbol
_atom_site_fract_x
_atom_site_fract_y
_atom_site_fract_z
Mo1 Mo 0.083 0.130 0.313
H1 H 0.191 0.733 0.471
H2 H 0.225 0.595 0.586
H3 H 0.230 0.523 0.456
H4 H 0.288 0.227 0.653
H5 H 0.340 0.084 0.561
H6 H 0.365 0.023 0.697
H7 H 0.441 0.666 0.818
H8 H 0.451 0.647 0.547
N1 N 0.274 0.625 0.515
N2 N 0.390 0.124 0.648
O1 O 0.165 0.092 0.188
O2 O 0.165 0.547 0.913
O3 O 0.222 0.662 0.236
O4 O 0.240 0.190 0.894
```

Most intense lines, 2θ = 15–90°, in order of falling intensity:
| index | 2θ (°) | I (rel.) |
| --- | --- | --- |
| 1 0 0 | 15.21 | 100 |
| 1 0 -2 | 17.32 | 94 |
| 1 2 -1 | 26.63 | 92 |
| 0 2 1 | 23.77 | 75 |
| 0 0 2 | 15.80 | 61 |
| 1 1 -4 | 31.79 | 50 |

---

Structure and computed powder X-ray diffraction pattern of V2ZnP2O10 (a DFT-relaxed cell (GGA+U, the Materials Project); CuKα).
Neutral-atom scattering factors, no anomalous dispersion.

Atomic structure:
```
data_V2ZnP2O10
_cell_length_a 11.265
_cell_length_b 16.265
_cell_length_c 7.213
_cell_angle_alpha 90.00
_cell_angle_beta 90.00
_cell_angle_gamma 90.00
_symmetry_space_group_name_H-M 'F d d 2'
_symmetry_Int_Tables_number 43
_symmetry_space_group_name_Hall 'F 2 -2d'
loop_
_atom_site_label
_atom_site_type_symbol
_atom_site_fract_x
_atom_site_fract_y
_atom_site_fract_z
V1 V 0.116 0.381 0.000
Zn1 Zn 0.000 0.000 0.108
P1 P 0.001 0.208 0.120
O1 O 0.003 0.082 0.622
O2 O 0.014 0.351 0.784
O3 O 0.015 0.154 0.947
O4 O 0.111 0.266 0.153
O5 O 0.112 0.236 0.590
```

Most intense lines, 2θ = 15–90°, in order of falling intensity:
| index | 2θ (°) | I (rel.) |
| --- | --- | --- |
| 1 5 1 | 31.19 | 100 |
| 3 1 1 | 27.33 | 64 |
| 2 0 2 | 29.41 | 49 |
| 2 2 2 | 31.48 | 49 |
| 1 3 1 | 21.97 | 37 |
| 2 4 2 | 36.94 | 36 |

---

Structure and computed powder X-ray diffraction pattern of TiNiO3 (a DFT-relaxed cell (GGA+U, the Materials Project); CuKα).
Neutral-atom scattering factors, no anomalous dispersion.

Atomic structure:
```
data_TiNiO3
_cell_length_a 5.503
_cell_length_b 9.023
_cell_length_c 9.026
_cell_angle_alpha 68.40
_cell_angle_beta 84.68
_cell_angle_gamma 84.88
_symmetry_space_group_name_H-M 'P 1'
_symmetry_Int_Tables_number 1
loop_
_symmetry_equiv_pos_as_xyz
'x,y,z'
loop_
_atom_site_label
_atom_site_type_symbol
_atom_site_fract_x
_atom_site_fract_y
_atom_site_fract_z
Ti1 Ti 0.000 0.000 0.000
Ti2 Ti 0.001 0.514 0.481
Ti3 Ti 0.081 0.145 0.642
Ti4 Ti 0.087 0.405 0.887
Ti5 Ti 0.108 0.648 0.129
Ti6 Ti 0.511 0.005 0.496
Ti7 Ti 0.571 0.164 0.140
Ti8 Ti 0.579 0.649 0.640
Ni1 Ni 0.094 0.902 0.393
Ni2 Ni 0.494 0.251 0.741
Ni3 Ni 0.505 0.503 0.996
Ni4 Ni 0.505 0.756 0.241
Ni5 Ni 0.588 0.904 0.896
Ni6 Ni 0.596 0.401 0.391
Ni7 Ni 0.991 0.251 0.247
Ni8 Ni 0.993 0.755 0.741
O1 O 0.130 0.364 0.693
O2 O 0.133 0.458 0.090
O3 O 0.138 0.864 0.182
O4 O 0.140 0.962 0.594
O5 O 0.273 0.052 0.847
O6 O 0.284 0.550 0.349
O7 O 0.304 0.601 0.785
O8 O 0.306 0.103 0.287
O9 O 0.437 0.703 0.045
O10 O 0.440 0.294 0.948
O11 O 0.443 0.192 0.542
O12 O 0.452 0.794 0.455
O13 O 0.636 0.855 0.686
O14 O 0.640 0.463 0.595
O15 O 0.642 0.344 0.195
O16 O 0.652 0.970 0.094
O17 O 0.781 0.048 0.351
O18 O 0.805 0.104 0.785
O19 O 0.811 0.542 0.845
O20 O 0.821 0.605 0.288
O21 O 0.944 0.694 0.540
O22 O 0.951 0.797 0.953
O23 O 0.954 0.207 0.028
O24 O 0.954 0.297 0.456
```

Most intense lines, 2θ = 15–90°, in order of falling intensity:
| index | 2θ (°) | I (rel.) |
| --- | --- | --- |
| 2 0 0 | 32.78 | 100 |
| 0 2 -2 | 35.42 | 76 |
| 3 1 -1 | 53.49 | 30 |
| 0 4 4 | 49.09 | 25 |
| 1 1 -1 | 23.93 | 25 |
| 1 1 -5 | 63.63 | 23 |

---

Structure and computed powder X-ray diffraction pattern of MgCo3P4O14 (a DFT-relaxed cell (GGA+U, the Materials Project); CuKα).
Neutral-atom scattering factors, no anomalous dispersion.

Atomic structure:
```
data_MgCo3P4O14
_cell_length_a 7.315
_cell_length_b 7.545
_cell_length_c 9.580
_cell_angle_alpha 90.00
_cell_angle_beta 111.97
_cell_angle_gamma 90.00
_symmetry_space_group_name_H-M 'P 1 21/c 1'
_symmetry_Int_Tables_number 14
loop_
_symmetry_equiv_pos_as_xyz
'x,y,z'
'-x,-y,-z'
'-x,y+1/2,-z+1/2'
'x,-y+1/2,z+1/2'
loop_
_atom_site_label
_atom_site_type_symbol
_atom_site_fract_x
_atom_site_fract_y
_atom_site_fract_z
Mg1 Mg 0.000 0.000 0.000
Co1 Co 0.313 0.129 0.478
Co2 Co 0.500 0.000 0.000
P1 P 0.088 0.074 0.705
P2 P 0.369 0.707 0.188
O1 O 0.115 0.209 0.597
O2 O 0.121 0.527 0.810
O3 O 0.166 0.615 0.171
O4 O 0.211 0.116 0.875
O5 O 0.306 0.617 0.602
O6 O 0.468 0.586 0.109
O7 O 0.483 0.715 0.359
```

Most intense lines, 2θ = 15–90°, in order of falling intensity:
| index | 2θ (°) | I (rel.) |
| --- | --- | --- |
| 2 1 -2 | 29.00 | 100 |
| 1 2 1 | 30.59 | 96 |
| 1 1 2 | 30.28 | 71 |
| 1 2 -2 | 30.69 | 65 |
| 1 1 -1 | 17.62 | 52 |
| 1 0 2 | 27.82 | 45 |

---

Structure and computed powder X-ray diffraction pattern of Ca3V2O8 (a DFT-relaxed cell (GGA+U, the Materials Project); CuKα).
Neutral-atom scattering factors, no anomalous dispersion.

Atomic structure:
```
data_Ca3V2O8
_cell_length_a 5.6376
_cell_length_b 5.6376
_cell_length_c 18.9306
_cell_angle_alpha 90.00
_cell_angle_beta 90.00
_cell_angle_gamma 120.00
_symmetry_space_group_name_H-M 'R -3 m'
_symmetry_Int_Tables_number 166
_symmetry_space_group_name_Hall '-R 3 2"'
loop_
_atom_site_label
_atom_site_type_symbol
_atom_site_fract_x
_atom_site_fract_y
_atom_site_fract_z
Ca1 Ca 0.0000 0.0000 0.0000
Ca2 Ca 0.0000 0.0000 0.1952
V1 V 0.0000 0.0000 0.4038
O1 O 0.0000 0.0000 0.3134
O2 O 0.0071 0.5035 0.7665
```

Most intense lines, 2θ = 15–90°, in order of falling intensity:
| index | 2θ (°) | I (rel.) |
| --- | --- | --- |
| 1 1 0 | 31.74 | 100 |
| 0 1 5 | 29.86 | 70 |
| 2 0 5 | 44.14 | 43 |
| 1 0 10 | 51.80 | 29 |
| 1 2 5 | 55.39 | 24 |
| 2 2 0 | 66.32 | 21 |

---

Structure and computed powder X-ray diffraction pattern of Li3Co2Si2O8 (a DFT-relaxed cell (GGA+U, the Materials Project); CuKα).
Neutral-atom scattering factors, no anomalous dispersion.

Atomic structure:
```
data_Li3Co2Si2O8
_cell_length_a 6.490
_cell_length_b 5.142
_cell_length_c 10.590
_cell_angle_alpha 90.00
_cell_angle_beta 90.53
_cell_angle_gamma 90.00
_symmetry_space_group_name_H-M 'P 1 c 1'
_symmetry_Int_Tables_number 7
loop_
_symmetry_equiv_pos_as_xyz
'x,y,z'
'x,-y,z+1/2'
loop_
_atom_site_label
_atom_site_type_symbol
_atom_site_fract_x
_atom_site_fract_y
_atom_site_fract_z
Li1 Li 0.000 0.028 0.000
Li2 Li 0.261 0.072 0.763
Li3 Li 0.750 0.435 0.085
Co1 Co 0.263 0.435 0.085
Co2 Co 0.746 0.077 0.760
Si1 Si 0.006 0.434 0.328
Si2 Si 0.509 0.066 0.510
O1 O 0.019 0.462 0.979
O2 O 0.214 0.462 0.753
O3 O 0.295 0.056 0.077
O4 O 0.500 0.385 0.535
O5 O 0.512 0.008 0.862
O6 O 0.719 0.042 0.083
O7 O 0.806 0.443 0.758
O8 O 0.995 0.113 0.326
```

Most intense lines, 2θ = 15–90°, in order of falling intensity:
| index | 2θ (°) | I (rel.) |
| --- | --- | --- |
| 1 1 0 | 22.06 | 100 |
| 1 0 -2 | 21.56 | 55 |
| 1 0 2 | 21.76 | 45 |
| 0 0 4 | 33.85 | 45 |
| 0 2 0 | 34.90 | 41 |
| 1 1 -1 | 23.62 | 25 |